# 1
Diffraction record for CaMg14CdO16. The XRD peak list is calculated, not measured: it uses DFT lattice parameters and positions (PBE) and Cu Kα (λ = 1.5418 Å).
Intensities are scaled so that the largest is 100.

The 12 most intense peaks (2θ from 5° to 70°), in order of falling intensity:
41.40°, intensity 100; 60.19°, intensity 56; 41.67°, intensity 48; 35.73°, intensity 33; 10.18°, intensity 32; 59.99°, intensity 29; 22.81°, intensity 20; 30.79°, intensity 14; 20.36°, intensity 12; 14.41°, intensity 11; 28.99°, intensity 10; 37.33°, intensity 7

Structural model:
```
CaMg14CdO16
1.0
4.3668 0.0000 0.0000
0.0000 8.6696 0.0000
0.0000 0.0000 8.7136
Ca Mg Cd O
1 14 1 16
direct
0.0000 0.0000 0.0000
0.0000 0.2563 0.2511
0.0000 0.2563 0.7489
0.0000 0.5000 0.0000
0.0000 0.5000 0.5000
0.0000 0.7437 0.2511
0.0000 0.7437 0.7489
0.5000 0.0000 0.2511
0.5000 0.0000 0.7489
0.5000 0.2564 0.0000
0.5000 0.2558 0.5000
0.5000 0.5000 0.2503
0.5000 0.5000 0.7497
0.5000 0.7436 0.0000
0.5000 0.7442 0.5000
0.0000 0.0000 0.5000
0.0000 0.0000 0.2493
0.0000 0.0000 0.7507
0.0000 0.2646 0.0000
0.0000 0.2679 0.5000
0.0000 0.5000 0.2497
0.0000 0.5000 0.7503
0.0000 0.7321 0.5000
0.0000 0.7354 0.0000
0.5000 0.0000 0.0000
0.5000 0.0000 0.5000
0.5000 0.2499 0.2505
0.5000 0.2499 0.7495
0.5000 0.5000 0.0000
0.5000 0.5000 0.5000
0.5000 0.7501 0.2505
0.5000 0.7501 0.7495
```

=====

# 2
Diffraction record for CaTmMg2Cd4. The XRD peak list is calculated, not measured: it uses DFT lattice parameters and positions (PBE) and Cu Kα (λ = 1.5418 Å).
Intensities are scaled so that the largest is 100.

The 12 most intense peaks (2θ from 5° to 70°), in order of falling intensity:
35.06°, intensity 100; 35.26°, intensity 99; 50.57°, intensity 34; 63.16°, intensity 34; 24.66°, intensity 19; 10.55°, intensity 18; 21.36°, intensity 18; 62.76°, intensity 17; 63.29°, intensity 17; 20.45°, intensity 12; 41.54°, intensity 9; 36.91°, intensity 6

Structural model:
```
CaTmMg2Cd4
1.0
2.5451 1.4694 8.3835
-2.5451 1.4694 8.3835
0.0000 -2.9388 8.3835
Ca Tm Mg Cd
1 1 2 4
direct
0.0000 0.0000 0.0000
0.5000 0.5000 0.5000
0.2491 0.2491 0.2491
0.7509 0.7509 0.7509
0.1259 0.1259 0.1259
0.3769 0.3769 0.3769
0.6231 0.6231 0.6231
0.8741 0.8741 0.8741
```

=====

# 3
Diffraction record for Ca2MgZnCd6. The XRD peak list is calculated, not measured: it uses DFT lattice parameters and positions (PBE) and Cu Kα (λ = 1.5418 Å).
Intensities are scaled so that the largest is 100.

The 12 most intense peaks (2θ from 5° to 70°), in order of falling intensity:
34.00°, intensity 100; 31.67°, intensity 88; 14.80°, intensity 68; 39.10°, intensity 67; 19.00°, intensity 45; 22.57°, intensity 43; 50.04°, intensity 40; 31.01°, intensity 38; 40.09°, intensity 38; 51.50°, intensity 36; 40.30°, intensity 31; 29.49°, intensity 26

Structural model:
```
Ca2MgZnCd6
1.0
3.5487 2.0489 11.9729
-3.5487 2.0489 11.9729
0.0000 -4.0977 11.9729
Ca Mg Zn Cd
4 2 2 12
direct
0.1035 0.1035 0.1035
0.2790 0.2790 0.2790
0.7210 0.7210 0.7210
0.8965 0.8965 0.8965
0.4259 0.4259 0.4259
0.5741 0.5741 0.5741
0.0000 0.0000 0.0000
0.5000 0.5000 0.5000
0.0731 0.6689 0.6689
0.2231 0.2231 0.6441
0.2231 0.6441 0.2231
0.3311 0.3311 0.9269
0.3311 0.9269 0.3311
0.3559 0.7769 0.7769
0.6441 0.2231 0.2231
0.6689 0.0731 0.6689
0.6689 0.6689 0.0731
0.7769 0.3559 0.7769
0.7769 0.7769 0.3559
0.9269 0.3311 0.3311
```